# 1
The following is a simulated powder XRD pattern of Ho2MgMo2Cl2O8. It was derived from a cell relaxed with PBE+U, using Cu Kα.
No peak broadening, texture or thermal motion is included.

Most intense lines, 5° ≤ 2θ ≤ 70°, most intense first:
2θ (°), Rel. int.
25.13, 100
28.64, 84
25.70, 73
17.42, 70
33.27, 69
13.60, 63
28.04, 52
43.60, 35
46.50, 32
36.26, 31

Crystal structure
Cell: 6.480 6.491 6.949 Å, 72.99 73.00 66.22°
Fractional positions:
Ho 0.000 0.000 0.000
Ho 0.479 0.480 0.787
Mg 0.935 0.545 0.394
Mo 0.607 0.590 0.161
Mo 0.889 0.874 0.626
Cl 0.198 0.283 0.143
Cl 0.199 0.281 0.645
O 0.000 0.854 0.350
O 0.151 0.775 0.738
O 0.364 0.748 0.024
O 0.626 0.479 0.438
O 0.705 0.328 0.049
O 0.719 0.683 0.670
O 0.731 0.116 0.763
O 0.796 0.761 0.118


# 2
The following is a simulated powder XRD pattern of Ho2MgMo2Cl2O8. It was derived from a cell relaxed with PBE+U, using Cu Kα.
No peak broadening, texture or thermal motion is included.

Most intense lines, 5° ≤ 2θ ≤ 70°, most intense first:
2θ (°), Rel. int.
25.58, 100
30.67, 73
22.38, 52
16.85, 48
30.41, 47
13.33, 47
31.62, 34
48.20, 28
48.38, 24
44.43, 22

Crystal structure
Cell: 6.325 6.325 6.664 Å, 93.83 93.83 66.82°
Fractional positions:
Ho 0.000 0.000 0.000
Ho 0.587 0.587 0.826
Mg 0.295 0.295 0.848
Mo 0.098 0.098 0.560
Mo 0.395 0.395 0.242
Cl 0.751 0.751 0.132
Cl 0.850 0.850 0.653
O 0.018 0.018 0.318
O 0.227 0.227 0.123
O 0.273 0.621 0.017
O 0.279 0.279 0.530
O 0.311 0.932 0.768
O 0.513 0.513 0.457
O 0.621 0.273 0.017
O 0.932 0.311 0.768


# 3
The following is a simulated powder XRD pattern of Ho2MgW2Cl2O8. It was derived from a cell relaxed with PBE+U, using Cu Kα.
No peak broadening, texture or thermal motion is included.

Most intense lines, 5° ≤ 2θ ≤ 70°, most intense first:
2θ (°), Rel. int.
25.29, 100
25.72, 77
32.91, 70
28.65, 70
15.24, 54
17.24, 53
27.68, 52
36.38, 39
61.37, 38
42.96, 37

Crystal structure
Cell: 6.549 6.549 6.957 Å, 107.83 107.83 65.06°
Fractional positions:
Ho 0.242 0.242 0.106
Ho 0.758 0.758 0.894
Mg 0.302 0.698 0.500
W 0.352 0.368 0.734
W 0.632 0.648 0.266
Cl 0.042 0.956 0.752
Cl 0.044 0.958 0.248
O 0.083 0.459 0.836
O 0.240 0.396 0.455
O 0.448 0.473 0.218
O 0.510 0.122 0.872
O 0.527 0.552 0.782
O 0.541 0.917 0.164
O 0.604 0.760 0.545
O 0.878 0.490 0.128


# 4
The following is a simulated powder XRD pattern of HoWClO4. It was derived from a cell relaxed with PBE+U, using Cu Kα.
No peak broadening, texture or thermal motion is included.

Most intense lines, 5° ≤ 2θ ≤ 70°, most intense first:
2θ (°), Rel. int.
24.30, 100
28.37, 62
29.06, 59
25.61, 58
34.25, 42
18.00, 39
13.34, 35
35.59, 34
45.52, 28
46.42, 25

Crystal structure
Cell: 6.341 6.341 6.971 Å, 104.48 104.48 70.55°
Fractional positions:
Ho 0.222 0.222 0.118
Ho 0.778 0.778 0.882
W 0.363 0.363 0.733
W 0.637 0.637 0.267
Cl 0.011 0.011 0.771
Cl 0.989 0.989 0.229
O 0.106 0.492 0.845
O 0.296 0.296 0.464
O 0.454 0.454 0.194
O 0.492 0.106 0.845
O 0.508 0.894 0.155
O 0.546 0.546 0.806
O 0.704 0.704 0.536
O 0.894 0.508 0.155


# 5
The following is a simulated powder XRD pattern of KMo2Cl7O2. It was derived from a cell relaxed with PBE+U, using Cu Kα.
No peak broadening, texture or thermal motion is included.

Most intense lines, 5° ≤ 2θ ≤ 70°, most intense first:
2θ (°), Rel. int.
15.68, 100
14.81, 64
24.60, 38
30.44, 23
24.82, 21
34.03, 19
40.23, 19
12.34, 17
54.16, 15
48.74, 14

Crystal structure
Cell: 8.261 8.261 10.688 Å, 102.89 102.89 92.79°
Fractional positions:
K 0.091 0.909 0.750
K 0.909 0.091 0.250
Mo 0.146 0.630 0.338
Mo 0.370 0.854 0.162
Mo 0.630 0.146 0.838
Mo 0.854 0.370 0.662
Cl 0.038 0.706 0.128
Cl 0.070 0.239 0.582
Cl 0.239 0.070 0.082
Cl 0.294 0.962 0.372
Cl 0.306 0.666 0.555
Cl 0.334 0.694 0.945
Cl 0.403 0.597 0.250
Cl 0.597 0.403 0.750
Cl 0.666 0.306 0.055
Cl 0.694 0.334 0.445
Cl 0.706 0.038 0.628
Cl 0.761 0.930 0.918
Cl 0.930 0.761 0.418
Cl 0.962 0.294 0.872
O 0.074 0.424 0.295
O 0.424 0.074 0.795
O 0.576 0.926 0.205
O 0.926 0.576 0.705


# 6
The following is a simulated powder XRD pattern of K2MoCl5O. It was derived from a cell relaxed with PBE+U, using Cu Kα.
No peak broadening, texture or thermal motion is included.

Most intense lines, 5° ≤ 2θ ≤ 70°, most intense first:
2θ (°), Rel. int.
15.24, 100
15.56, 98
31.43, 68
35.78, 65
36.19, 48
31.73, 46
51.77, 44
17.87, 34
25.23, 33
28.69, 28

Crystal structure
Cell: 13.833 10.039 7.130 Å, 90.00 90.00 90.00°
Fractional positions:
K 0.144 0.002 0.178
K 0.144 0.498 0.178
K 0.356 0.502 0.678
K 0.356 0.998 0.678
K 0.644 0.002 0.322
K 0.644 0.498 0.322
K 0.856 0.502 0.822
K 0.856 0.998 0.822
Mo 0.097 0.750 0.683
Mo 0.403 0.250 0.183
Mo 0.597 0.750 0.817
Mo 0.903 0.250 0.317
Cl 0.002 0.750 0.972
Cl 0.110 0.509 0.703
Cl 0.110 0.991 0.703
Cl 0.220 0.750 0.436
Cl 0.246 0.750 0.906
Cl 0.254 0.250 0.406
Cl 0.280 0.250 0.936
Cl 0.390 0.009 0.203
Cl 0.390 0.491 0.203
Cl 0.498 0.250 0.472
Cl 0.502 0.750 0.528
Cl 0.610 0.509 0.797
Cl 0.610 0.991 0.797
Cl 0.720 0.750 0.064
Cl 0.746 0.750 0.594
Cl 0.754 0.250 0.094
Cl 0.780 0.250 0.564
Cl 0.890 0.009 0.297
Cl 0.890 0.491 0.297
Cl 0.998 0.250 0.028
O 0.000 0.250 0.466
O 0.000 0.750 0.534
O 0.500 0.250 0.034
O 0.500 0.750 0.966


# 7
The following is a simulated powder XRD pattern of KMoCl4O. It was derived from a cell relaxed with PBE+U, using Cu Kα.
No peak broadening, texture or thermal motion is included.

Most intense lines, 5° ≤ 2θ ≤ 70°, most intense first:
2θ (°), Rel. int.
19.12, 100
14.85, 78
12.07, 76
16.63, 70
16.30, 65
19.98, 53
32.74, 53
30.81, 50
25.94, 50
24.06, 43

Crystal structure
Cell: 6.882 9.300 23.901 Å, 90.00 93.30 90.00°
Fractional positions:
K 0.191 0.217 0.034
K 0.191 0.283 0.534
K 0.247 0.015 0.263
K 0.247 0.485 0.763
K 0.753 0.515 0.237
K 0.753 0.985 0.737
K 0.809 0.717 0.466
K 0.809 0.783 0.966
Mo 0.226 0.613 0.121
Mo 0.226 0.887 0.621
Mo 0.275 0.018 0.864
Mo 0.275 0.482 0.364
Mo 0.725 0.518 0.636
Mo 0.725 0.982 0.136
Mo 0.774 0.113 0.379
Mo 0.774 0.387 0.879
Cl 0.047 0.670 0.341
Cl 0.047 0.830 0.841
Cl 0.127 0.644 0.597
Cl 0.127 0.856 0.097
Cl 0.156 0.142 0.782
Cl 0.156 0.358 0.282
Cl 0.238 0.570 0.024
Cl 0.238 0.930 0.524
Cl 0.270 0.571 0.458
Cl 0.270 0.929 0.958
Cl 0.349 0.698 0.211
Cl 0.349 0.802 0.711
Cl 0.367 0.247 0.905
Cl 0.367 0.253 0.405
Cl 0.440 0.089 0.634
Cl 0.440 0.411 0.134
Cl 0.560 0.589 0.866
Cl 0.560 0.911 0.366
Cl 0.633 0.747 0.595
Cl 0.633 0.753 0.095
Cl 0.651 0.198 0.289
Cl 0.651 0.302 0.789
Cl 0.730 0.071 0.042
Cl 0.730 0.429 0.542
Cl 0.762 0.070 0.476
Cl 0.762 0.430 0.976
Cl 0.844 0.642 0.718
Cl 0.844 0.858 0.218
Cl 0.873 0.144 0.903
Cl 0.873 0.356 0.403
Cl 0.953 0.170 0.159
Cl 0.953 0.330 0.659
O 0.009 0.540 0.137
O 0.009 0.960 0.637
O 0.491 0.546 0.343
O 0.491 0.954 0.843
O 0.509 0.046 0.157
O 0.509 0.454 0.657
O 0.991 0.040 0.363
O 0.991 0.460 0.863